# 1
The following is a simulated X-ray diffraction stick pattern of Rb6Si10O23. It was derived from a structure optimized by DFT (GGA-PBE), using Cu Kα (λ = 1.5418 Å).
Neutral-atom scattering factors, no anomalous dispersion.

Main lines, in order of rising 2θ (2θ = 15–90°):
two_theta	I (rel.)
24.12	46
28.34	38
28.53	100
28.72	66
35.89	24
36.01	23
36.22	20
43.94	14
49.44	18
53.16	15

Crystal structure
Unit cell a=8.2427 b=9.5992 c=9.5992 alpha=120.80 beta=90.00 gamma=90.00
Sites, in units of the cell vectors:
Rb  0.0000  0.0000  0.0000
Rb  0.0000  0.5181  0.7554
Rb  0.0000  0.7554  0.5181
Rb  0.5000  0.5123  0.7571
Rb  0.5000  0.7571  0.5123
Rb  0.5000  0.9925  0.9925
Si  0.1883  0.0750  0.4149
Si  0.1883  0.4149  0.0750
Si  0.3041  0.3570  0.3570
Si  0.3088  0.1465  0.7463
Si  0.3088  0.7463  0.1465
Si  0.6912  0.1465  0.7463
Si  0.6912  0.7463  0.1465
Si  0.6959  0.3570  0.3570
Si  0.8117  0.0750  0.4149
Si  0.8117  0.4149  0.0750
O  0.0000  0.0135  0.3726
O  0.0000  0.3726  0.0135
O  0.2118  0.1764  0.6110
O  0.2118  0.6110  0.1764
O  0.2272  0.1891  0.3405
O  0.2272  0.3405  0.1891
O  0.2472  0.9998  0.7636
O  0.2472  0.7636  0.9998
O  0.2646  0.5203  0.5203
O  0.2997  0.3310  0.9122
O  0.2997  0.9122  0.3310
O  0.5000  0.1299  0.6884
O  0.5000  0.3164  0.3164
O  0.5000  0.6884  0.1299
O  0.7003  0.3310  0.9122
O  0.7003  0.9122  0.3310
O  0.7354  0.5203  0.5203
O  0.7528  0.9998  0.7636
O  0.7528  0.7636  0.9998
O  0.7728  0.1891  0.3405
O  0.7728  0.3405  0.1891
O  0.7882  0.1764  0.6110
O  0.7882  0.6110  0.1764

---

# 2
The following is a simulated X-ray diffraction stick pattern of Rb4SiO4. It was derived from a structure optimized by DFT (GGA-PBE), using Cu Kα (λ = 1.5418 Å).
Neutral-atom scattering factors, no anomalous dispersion.

Main lines, in order of rising 2θ (2θ = 15–90°):
two_theta	I (rel.)
27.71	40
28.09	74
29.12	97
29.59	98
29.72	96
30.48	100
34.39	64
35.34	32
36.25	44
36.47	41

Crystal structure
Unit cell a=6.8304 b=6.9179 c=9.4611 alpha=81.89 beta=73.47 gamma=62.45
Sites, in units of the cell vectors:
Rb  0.0023  0.2684  0.4411
Rb  0.1348  0.7880  0.1366
Rb  0.2556  0.2752  0.0369
Rb  0.4361  0.2384  0.6319
Rb  0.5639  0.7617  0.3681
Rb  0.7444  0.7248  0.9631
Rb  0.8652  0.2120  0.8634
Rb  0.9977  0.7316  0.5589
Si  0.3594  0.7643  0.7481
Si  0.6406  0.2357  0.2519
O  0.2101  0.6258  0.8318
O  0.2295  0.9344  0.6224
O  0.3516  0.9220  0.8711
O  0.3709  0.4073  0.3316
O  0.6291  0.5927  0.6684
O  0.6484  0.0780  0.1289
O  0.7705  0.0656  0.3776
O  0.7899  0.3742  0.1682

---

# 3
The following is a simulated X-ray diffraction stick pattern of Rb2TiSi6O15. It was derived from a structure optimized by DFT (GGA-PBE), using Cu Kα (λ = 1.5418 Å).
Neutral-atom scattering factors, no anomalous dispersion.

Main lines, in order of rising 2θ (2θ = 15–90°):
two_theta	I (rel.)
24.00	60
24.16	100
24.50	78
24.64	45
26.06	47
26.87	79
27.60	59
28.59	84
29.40	40
39.27	38

Crystal structure
Unit cell a=7.4789 b=7.4789 c=15.3790 alpha=103.19 beta=103.19 gamma=60.12
Sites, in units of the cell vectors:
Rb  0.1237  0.8763  0.5000
Rb  0.3838  0.6554  0.8319
Rb  0.6554  0.3838  0.3319
Rb  0.8763  0.1237  0.0000
Ti  0.0238  0.5442  0.9246
Ti  0.5442  0.0238  0.4246
Si  0.1679  0.3083  0.2739
Si  0.2377  0.8821  0.2649
Si  0.2584  0.3189  0.5865
Si  0.3083  0.1679  0.7739
Si  0.3189  0.2584  0.0865
Si  0.3916  0.6020  0.0760
Si  0.6020  0.3916  0.5760
Si  0.6585  0.7894  0.0627
Si  0.7705  0.8828  0.7669
Si  0.7894  0.6585  0.5627
Si  0.8821  0.2377  0.7649
Si  0.8828  0.7705  0.2669
O  0.0073  0.4386  0.5549
O  0.0871  0.1286  0.2482
O  0.0987  0.7903  0.2879
O  0.1077  0.3657  0.0190
O  0.1286  0.0871  0.7482
O  0.1987  0.6757  0.9968
O  0.2725  0.3316  0.8646
O  0.2768  0.2985  0.1908
O  0.2985  0.2768  0.6908
O  0.3316  0.2725  0.3646
O  0.3388  0.7486  0.1730
O  0.3576  0.4769  0.5904
O  0.3657  0.1077  0.5190
O  0.4155  0.8582  0.3500
O  0.4386  0.0073  0.0549
O  0.4769  0.3576  0.0904
O  0.5312  0.9510  0.7812
O  0.5939  0.6022  0.0503
O  0.6022  0.5939  0.5503
O  0.6757  0.1987  0.4968
O  0.7297  0.9457  0.3356
O  0.7486  0.3388  0.6730
O  0.7536  0.7857  0.4839
O  0.7857  0.7536  0.9839
O  0.7877  0.8055  0.1623
O  0.7903  0.0987  0.7879
O  0.8055  0.7877  0.6623
O  0.8582  0.4155  0.8500
O  0.9457  0.7297  0.8356
O  0.9510  0.5312  0.2812

---

# 4
The following is a simulated X-ray diffraction stick pattern of Rb2USi4O12. It was derived from a structure optimized by DFT (GGA-PBE), using Cu Kα (λ = 1.5418 Å).
Neutral-atom scattering factors, no anomalous dispersion.

Main lines, in order of rising 2θ (2θ = 15–90°):
two_theta	I (rel.)
15.19	66
15.67	51
21.49	39
22.46	100
24.32	37
26.32	27
26.59	63
27.67	31
27.96	41
34.38	26

Crystal structure
Unit cell a=6.9162 b=8.4945 c=11.3757 alpha=73.00 beta=88.79 gamma=77.26
Sites, in units of the cell vectors:
Rb  0.1772  0.2296  0.3538
Rb  0.1963  0.1904  0.9945
Rb  0.8037  0.8096  0.0055
Rb  0.8228  0.7704  0.6462
U  0.3246  0.7825  0.8261
U  0.6754  0.2175  0.1739
Si  0.0303  0.8222  0.2875
Si  0.3011  0.7428  0.5162
Si  0.3253  0.3620  0.6254
Si  0.3822  0.6317  0.1669
Si  0.6178  0.3683  0.8331
Si  0.6747  0.6380  0.3746
Si  0.6989  0.2572  0.4838
Si  0.9697  0.1778  0.7125
O  0.0599  0.0048  0.8183
O  0.1437  0.6443  0.8585
O  0.1459  0.2646  0.6411
O  0.1598  0.8584  0.3931
O  0.1682  0.6805  0.2308
O  0.2272  0.5636  0.5656
O  0.2781  0.8395  0.6189
O  0.3773  0.7515  0.0266
O  0.4249  0.4313  0.1813
O  0.4434  0.3265  0.7555
O  0.4674  0.2978  0.5237
O  0.4917  0.0826  0.2034
O  0.5083  0.9174  0.7966
O  0.5326  0.7022  0.4763
O  0.5566  0.6735  0.2445
O  0.5751  0.5687  0.8187
O  0.6227  0.2485  0.9734
O  0.7219  0.1605  0.3811
O  0.7728  0.4364  0.4344
O  0.8318  0.3195  0.7692
O  0.8402  0.1416  0.6069
O  0.8541  0.7354  0.3589
O  0.8563  0.3557  0.1415
O  0.9401  0.9952  0.1817